# TlCrP2O7
Calculated X-ray diffraction stick pattern, Cu Kα X-rays. Input: DFT lattice parameters and positions (PBE+U).

Largest 10 diffraction maxima, sorted by position, 2θ from 15° to 90°:
| two_theta | intensity |
| --- | --- |
| 22.09 | 43 |
| 23.83 | 64 |
| 25.66 | 65 |
| 25.93 | 34 |
| 28.38 | 66 |
| 28.76 | 60 |
| 29.21 | 44 |
| 29.45 | 71 |
| 29.57 | 100 |
| 29.71 | 91 |

Structural model:
```
TlCrP2O7
1.0
7.6108 0.0000 0.0000
0.0000 10.0966 0.0000
-2.3322 0.0000 8.0292
Tl Cr P O
4 4 8 28
Direct
0.1830 0.1860 0.0522
0.1830 0.3140 0.5522
0.8170 0.6860 0.4478
0.8170 0.8140 0.9478
0.2391 0.6012 0.2601
0.2391 0.8988 0.7601
0.7609 0.1012 0.2399
0.7609 0.3988 0.7399
0.1293 0.5970 0.8315
0.1293 0.9030 0.3315
0.4319 0.6313 0.6886
0.4319 0.8687 0.1886
0.5681 0.1313 0.8114
0.5681 0.3687 0.3114
0.8707 0.0970 0.6685
0.8707 0.4030 0.1685
0.0114 0.0005 0.7755
0.0114 0.4995 0.2755
0.0851 0.7372 0.7569
0.0851 0.7628 0.2569
0.1454 0.5901 0.0147
0.1454 0.9099 0.5147
0.3185 0.6034 0.5110
0.3185 0.8966 0.0110
0.3258 0.5541 0.8070
0.3258 0.9459 0.3070
0.3755 0.0725 0.7641
0.3755 0.4275 0.2641
0.4438 0.7215 0.2402
0.4438 0.7785 0.7402
0.5562 0.2215 0.2598
0.5562 0.2785 0.7598
0.6245 0.5725 0.7359
0.6245 0.9275 0.2359
0.6742 0.0541 0.6930
0.6742 0.4459 0.1930
0.6815 0.1034 0.9890
0.6815 0.3966 0.4890
0.8546 0.0901 0.4853
0.8546 0.4099 0.9853
0.9149 0.2372 0.7431
0.9149 0.2628 0.2431
0.9886 0.9995 0.2245
0.9886 0.5005 0.7245
```



# VCr3P6O24
Calculated X-ray diffraction stick pattern, Cu Kα X-rays. Input: DFT lattice parameters and positions (PBE+U).

Largest 10 diffraction maxima, sorted by position, 2θ from 15° to 90°:
| two_theta | intensity |
| --- | --- |
| 20.26 | 55 |
| 20.77 | 25 |
| 24.17 | 100 |
| 29.18 | 45 |
| 32.24 | 15 |
| 32.38 | 29 |
| 36.39 | 12 |
| 46.58 | 11 |
| 53.35 | 12 |
| 56.98 | 11 |

Structural model:
```
VCr3P6O24
1.0
4.2758 2.4687 7.2477
-4.2758 2.4687 7.2477
0.0000 -4.9373 7.2477
V Cr P O
1 3 6 24
Direct
0.0000 0.0000 0.0000
0.2167 0.2167 0.2167
0.5017 0.5017 0.5017
0.7164 0.7164 0.7164
0.1091 0.3931 0.8254
0.3267 0.8930 0.6075
0.3931 0.8254 0.1091
0.6075 0.3267 0.8930
0.8254 0.1091 0.3931
0.8930 0.6075 0.3267
0.0764 0.4368 0.2958
0.0777 0.2183 0.8580
0.1386 0.3675 0.9961
0.1430 0.9233 0.7864
0.2183 0.8580 0.0777
0.2830 0.4174 0.6426
0.2958 0.0764 0.4368
0.3479 0.7206 0.5850
0.3675 0.9961 0.1386
0.4174 0.6426 0.2830
0.4368 0.2958 0.0764
0.4960 0.8671 0.6389
0.5769 0.7965 0.9364
0.5850 0.3479 0.7206
0.6389 0.4960 0.8671
0.6426 0.2830 0.4174
0.7206 0.5850 0.3479
0.7864 0.1430 0.9233
0.7965 0.9364 0.5769
0.8580 0.0777 0.2183
0.8671 0.6389 0.4960
0.9233 0.7864 0.1430
0.9364 0.5769 0.7965
0.9961 0.1386 0.3675
```



# V2CrP3O12
Calculated X-ray diffraction stick pattern, Cu Kα X-rays. Input: DFT lattice parameters and positions (PBE+U).

Largest 10 diffraction maxima, sorted by position, 2θ from 15° to 90°:
| two_theta | intensity |
| --- | --- |
| 20.65 | 73 |
| 24.29 | 100 |
| 25.37 | 15 |
| 32.06 | 16 |
| 33.00 | 64 |
| 36.16 | 32 |
| 47.36 | 27 |
| 49.76 | 24 |
| 56.60 | 21 |
| 63.04 | 16 |

Structural model:
```
V2CrP3O12
1.0
4.3025 2.4841 6.9951
-4.3025 2.4841 6.9951
0.0000 -4.9681 6.9951
V Cr P O
4 2 6 24
Direct
0.1436 0.1436 0.1436
0.3564 0.3564 0.3564
0.6436 0.6436 0.6436
0.8564 0.8564 0.8564
0.0000 0.0000 0.0000
0.5000 0.5000 0.5000
0.0431 0.7500 0.4569
0.2500 0.5431 0.9569
0.4569 0.0431 0.7500
0.5431 0.9569 0.2500
0.7500 0.4569 0.0431
0.9569 0.2500 0.5431
0.0065 0.8103 0.6153
0.0598 0.9132 0.2593
0.0868 0.7407 0.9402
0.1153 0.3103 0.5065
0.1897 0.3847 0.9935
0.2407 0.5868 0.4402
0.2593 0.0598 0.9132
0.3103 0.5065 0.1153
0.3847 0.9935 0.1897
0.4132 0.5598 0.7593
0.4402 0.2407 0.5868
0.4935 0.8847 0.6897
0.5065 0.1153 0.3103
0.5598 0.7593 0.4132
0.5868 0.4402 0.2407
0.6153 0.0064 0.8103
0.6897 0.4935 0.8847
0.7407 0.9402 0.0868
0.7593 0.4132 0.5598
0.8103 0.6153 0.0065
0.8847 0.6897 0.4935
0.9132 0.2593 0.0598
0.9402 0.0868 0.7407
0.9935 0.1897 0.3847
```



# CrP6W3O24
Calculated X-ray diffraction stick pattern, Cu Kα X-rays. Input: DFT lattice parameters and positions (PBE+U).

Largest 10 diffraction maxima, sorted by position, 2θ from 15° to 90°:
| two_theta | intensity |
| --- | --- |
| 19.95 | 100 |
| 20.28 | 83 |
| 23.67 | 37 |
| 28.60 | 56 |
| 31.85 | 41 |
| 35.32 | 35 |
| 35.52 | 28 |
| 46.22 | 20 |
| 52.46 | 19 |
| 55.54 | 20 |

Structural model:
```
CrP6W3O24
1.0
4.3779 2.5276 7.3281
-4.3779 2.5276 7.3281
0.0000 -5.0551 7.3281
Cr P W O
1 6 3 24
Direct
0.0000 0.0000 0.0000
0.1063 0.3878 0.8230
0.3148 0.8944 0.6140
0.3878 0.8230 0.1063
0.6140 0.3148 0.8944
0.8230 0.1063 0.3878
0.8944 0.6140 0.3148
0.2154 0.2154 0.2154
0.5001 0.5001 0.5001
0.7150 0.7150 0.7150
0.0689 0.4357 0.2972
0.0813 0.2217 0.8472
0.1371 0.3667 0.9909
0.1419 0.9164 0.7799
0.2217 0.8472 0.0813
0.2768 0.4231 0.6449
0.2972 0.0689 0.4357
0.3521 0.7254 0.5736
0.3667 0.9909 0.1371
0.4231 0.6449 0.2768
0.4357 0.2972 0.0689
0.4915 0.8654 0.6361
0.5706 0.7950 0.9370
0.5736 0.3521 0.7254
0.6361 0.4915 0.8654
0.6449 0.2768 0.4231
0.7254 0.5736 0.3521
0.7799 0.1419 0.9164
0.7950 0.9370 0.5706
0.8472 0.0813 0.2217
0.8654 0.6361 0.4915
0.9164 0.7799 0.1419
0.9370 0.5706 0.7950
0.9909 0.1371 0.3667
```



# ZnCr3P3O13
Calculated X-ray diffraction stick pattern, Cu Kα X-rays. Input: DFT lattice parameters and positions (PBE+U).

Largest 10 diffraction maxima, sorted by position, 2θ from 15° to 90°:
| two_theta | intensity |
| --- | --- |
| 19.55 | 89 |
| 23.23 | 64 |
| 24.10 | 89 |
| 27.23 | 38 |
| 28.25 | 100 |
| 30.79 | 60 |
| 31.41 | 89 |
| 32.72 | 40 |
| 37.46 | 38 |
| 39.29 | 68 |

Structural model:
```
ZnCr3P3O13
1.0
7.5165 0.0000 0.0000
0.0000 6.3170 0.0000
-1.8460 0.0000 9.9938
Zn Cr P O
2 6 6 26
Direct
0.1289 0.2500 0.1797
0.8711 0.7500 0.8203
0.1405 0.2500 0.7987
0.2731 0.7500 0.4365
0.5000 0.0000 0.0000
0.5000 0.5000 0.0000
0.7269 0.2500 0.5635
0.8595 0.7500 0.2013
0.1831 0.7500 0.1108
0.2335 0.7500 0.7638
0.2879 0.2500 0.5088
0.7121 0.7500 0.4912
0.7665 0.2500 0.2362
0.8169 0.2500 0.8892
0.0126 0.2500 0.9732
0.1105 0.5632 0.7895
0.1105 0.9368 0.7895
0.1364 0.7500 0.2535
0.1558 0.2500 0.6081
0.2487 0.0602 0.4101
0.2487 0.4398 0.4101
0.2866 0.5416 0.0965
0.2866 0.9584 0.0965
0.2921 0.7500 0.6298
0.3800 0.2500 0.9013
0.4091 0.7500 0.8751
0.4817 0.2500 0.5913
0.5183 0.7500 0.4087
0.5909 0.2500 0.1249
0.6200 0.7500 0.0987
0.7079 0.2500 0.3702
0.7134 0.0416 0.9035
0.7134 0.4584 0.9035
0.7513 0.5602 0.5899
0.7513 0.9398 0.5899
0.8442 0.7500 0.3919
0.8636 0.2500 0.7465
0.8895 0.0632 0.2105
0.8895 0.4368 0.2105
0.9874 0.7500 0.0268
```



# ZnCr2P2O10
Calculated X-ray diffraction stick pattern, Cu Kα X-rays. Input: DFT lattice parameters and positions (PBE+U).

Largest 10 diffraction maxima, sorted by position, 2θ from 15° to 90°:
| two_theta | intensity |
| --- | --- |
| 22.19 | 43 |
| 27.47 | 70 |
| 29.67 | 46 |
| 31.52 | 100 |
| 31.73 | 57 |
| 37.30 | 38 |
| 42.53 | 33 |
| 45.28 | 18 |
| 53.82 | 30 |
| 56.43 | 22 |

Structural model:
```
ZnCr2P2O10
1.0
0.0000 8.0456 3.5673
5.6144 0.0000 3.5673
5.6144 8.0456 0.0000
Zn Cr P O
2 4 4 20
Direct
0.0000 0.0000 0.0000
0.2500 0.2500 0.2500
0.1216 0.6248 0.6271
0.6229 0.6235 0.1284
0.6235 0.6229 0.6252
0.6248 0.1216 0.6265
0.0401 0.4557 0.0433
0.2067 0.7891 0.2099
0.4557 0.0401 0.4609
0.7891 0.2067 0.7943
0.0054 0.3355 0.6898
0.0635 0.3715 0.9044
0.1798 0.8731 0.3509
0.2395 0.9168 0.5614
0.2807 0.5602 0.9145
0.3355 0.0054 0.9693
0.3456 0.5894 0.1865
0.3715 0.0635 0.6606
0.4163 0.5801 0.4222
0.5602 0.2807 0.2446
0.5801 0.4163 0.5814
0.5894 0.3456 0.8785
0.6538 0.8991 0.3769
0.6686 0.8278 0.6699
0.6886 0.9676 0.0105
0.8278 0.6686 0.8337
0.8731 0.1798 0.5962
0.8991 0.6538 0.0702
0.9168 0.2395 0.2824
0.9676 0.6886 0.3332
```



# ZnCr2P2O8
Calculated X-ray diffraction stick pattern, Cu Kα X-rays. Input: DFT lattice parameters and positions (PBE+U).

Largest 10 diffraction maxima, sorted by position, 2θ from 15° to 90°:
| two_theta | intensity |
| --- | --- |
| 18.36 | 42 |
| 27.53 | 58 |
| 30.09 | 37 |
| 30.60 | 100 |
| 32.58 | 44 |
| 34.00 | 27 |
| 35.14 | 67 |
| 36.47 | 55 |
| 46.92 | 33 |
| 66.06 | 27 |

Structural model:
```
ZnCr2P2O8
1.0
9.0378 -2.5537 0.0000
9.0378 2.5537 0.0000
-8.4046 0.0000 13.9785
Zn Cr P O
4 8 8 32
Direct
0.0713 0.6639 0.8738
0.3361 0.9287 0.6262
0.6639 0.0713 0.3738
0.9287 0.3361 0.1262
0.0000 0.5000 0.0000
0.1370 0.6566 0.5293
0.1905 0.8095 0.7500
0.3434 0.8630 0.9707
0.5000 0.0000 0.5000
0.6566 0.1370 0.0293
0.8095 0.1905 0.2500
0.8630 0.3434 0.4707
0.0099 0.5660 0.6423
0.2703 0.6975 0.3934
0.3025 0.7297 0.1066
0.4340 0.9901 0.8577
0.5660 0.0099 0.1423
0.6975 0.2703 0.8934
0.7297 0.3025 0.6066
0.9901 0.4340 0.3577
0.0896 0.5067 0.7382
0.1030 0.8300 0.3058
0.1086 0.7186 0.4163
0.1178 0.6328 0.6429
0.1491 0.3032 0.5619
0.1633 0.6806 0.0198
0.1700 0.8970 0.1942
0.2017 0.3051 0.8933
0.2814 0.8914 0.0837
0.3032 0.1491 0.0619
0.3051 0.2017 0.3933
0.3194 0.8367 0.4802
0.3672 0.8822 0.8571
0.3825 0.5730 0.8784
0.4270 0.6175 0.6216
0.4933 0.9104 0.7618
0.5067 0.0896 0.2382
0.5730 0.3825 0.3784
0.6175 0.4270 0.1216
0.6328 0.1178 0.1429
0.6806 0.1633 0.5198
0.6949 0.7983 0.6067
0.6968 0.8509 0.9381
0.7186 0.1086 0.9163
0.7983 0.6949 0.1067
0.8300 0.1030 0.8058
0.8367 0.3194 0.9802
0.8509 0.6968 0.4381
0.8822 0.3672 0.3571
0.8914 0.2814 0.5837
0.8970 0.1700 0.6942
0.9104 0.4933 0.2618
```



# Cr6PbO18
Calculated X-ray diffraction stick pattern, Cu Kα X-rays. Input: DFT lattice parameters and positions (PBE+U).

Largest 10 diffraction maxima, sorted by position, 2θ from 15° to 90°:
| two_theta | intensity |
| --- | --- |
| 16.92 | 52 |
| 17.80 | 43 |
| 20.39 | 36 |
| 24.02 | 47 |
| 29.52 | 26 |
| 30.08 | 27 |
| 34.24 | 100 |
| 49.15 | 48 |
| 49.24 | 24 |
| 72.12 | 25 |

Structural model:
```
Cr6PbO18
1.0
5.2552 -3.7010 0.0000
5.2552 3.7010 0.0000
-2.6374 0.0000 7.8475
Cr Pb O
6 1 18
Direct
0.0000 0.5000 0.0000
0.1581 0.6700 0.6560
0.3300 0.8419 0.3440
0.5000 0.0000 0.0000
0.6700 0.1581 0.6560
0.8419 0.3300 0.3440
0.5000 0.5000 0.0000
0.0000 0.5000 0.5000
0.0834 0.0834 0.3333
0.0909 0.5810 0.8368
0.1715 0.6627 0.1633
0.2494 0.7506 0.5000
0.2541 0.2541 0.9999
0.3373 0.8285 0.8367
0.4181 0.4181 0.6721
0.4190 0.9091 0.1632
0.5000 0.0000 0.5000
0.5810 0.0909 0.8368
0.5819 0.5819 0.3279
0.6627 0.1715 0.1633
0.7459 0.7459 0.0001
0.7506 0.2494 0.5000
0.8285 0.3373 0.8367
0.9091 0.4190 0.1632
0.9166 0.9166 0.6667
```



Repeat the third record exactly.
# V2CrP3O12
Calculated X-ray diffraction stick pattern, Cu Kα X-rays. Input: DFT lattice parameters and positions (PBE+U).

Largest 10 diffraction maxima, sorted by position, 2θ from 15° to 90°:
| two_theta | intensity |
| --- | --- |
| 20.65 | 73 |
| 24.29 | 100 |
| 25.37 | 15 |
| 32.06 | 16 |
| 33.00 | 64 |
| 36.16 | 32 |
| 47.36 | 27 |
| 49.76 | 24 |
| 56.60 | 21 |
| 63.04 | 16 |

Structural model:
```
V2CrP3O12
1.0
4.3025 2.4841 6.9951
-4.3025 2.4841 6.9951
0.0000 -4.9681 6.9951
V Cr P O
4 2 6 24
Direct
0.1436 0.1436 0.1436
0.3564 0.3564 0.3564
0.6436 0.6436 0.6436
0.8564 0.8564 0.8564
0.0000 0.0000 0.0000
0.5000 0.5000 0.5000
0.0431 0.7500 0.4569
0.2500 0.5431 0.9569
0.4569 0.0431 0.7500
0.5431 0.9569 0.2500
0.7500 0.4569 0.0431
0.9569 0.2500 0.5431
0.0065 0.8103 0.6153
0.0598 0.9132 0.2593
0.0868 0.7407 0.9402
0.1153 0.3103 0.5065
0.1897 0.3847 0.9935
0.2407 0.5868 0.4402
0.2593 0.0598 0.9132
0.3103 0.5065 0.1153
0.3847 0.9935 0.1897
0.4132 0.5598 0.7593
0.4402 0.2407 0.5868
0.4935 0.8847 0.6897
0.5065 0.1153 0.3103
0.5598 0.7593 0.4132
0.5868 0.4402 0.2407
0.6153 0.0064 0.8103
0.6897 0.4935 0.8847
0.7407 0.9402 0.0868
0.7593 0.4132 0.5598
0.8103 0.6153 0.0065
0.8847 0.6897 0.4935
0.9132 0.2593 0.0598
0.9402 0.0868 0.7407
0.9935 0.1897 0.3847
```